No. 1
For ErSiSb, a DFT-relaxed cell (PBE, Alexandria) gives the theoretical powder X-ray diffraction pattern in this record (Cu Kα (λ = 1.5418 Å)).

Principal peaks in the range 2θ = 10–80°, low angle first:
- 27.47°, I = 24
- 30.51°, I = 100
- 34.27°, I = 37
- 35.12°, I = 20
- 40.78°, I = 22
- 54.24°, I = 21

Cell and atoms:
```
ErSiSb
1.0
6.767 0.000 0.000
-3.383 5.860 0.000
0.000 0.000 11.698
Er Si Sb
6 6 6
Cartesian
-1.692 2.930 4.646
-1.692 2.930 10.952
3.383 0.000 3.153
3.383 0.000 8.546
1.692 2.930 0.747
1.692 2.930 7.052
-0.723 3.489 1.950
0.723 3.489 9.749
0.000 4.742 5.849
3.383 1.118 5.849
2.660 2.371 9.749
4.107 2.371 1.950
0.000 0.000 1.950
0.000 0.000 5.849
0.000 0.000 9.749
-1.692 2.930 7.799
3.383 0.000 0.000
1.692 2.930 3.899
```

No. 2
For Sm2ErSb2, a DFT-relaxed cell (PBE, Alexandria) gives the theoretical powder X-ray diffraction pattern in this record (Cu Kα (λ = 1.5418 Å)).

Principal peaks in the range 2θ = 10–80°, low angle first:
- 24.91°, I = 100
- 31.12°, I = 82
- 32.56°, I = 69
- 35.41°, I = 65
- 41.84°, I = 74
- 49.01°, I = 57

Cell and atoms:
```
Sm2ErSb2
1.0
-4.242 5.911 3.162
4.242 -5.911 3.162
4.242 5.911 -3.162
Sm Er Sb
4 2 4
Cartesian
1.221 1.792 0.000
5.463 4.119 0.000
-1.221 1.792 3.162
3.020 4.119 3.162
4.242 0.000 1.581
0.000 5.911 1.581
6.613 1.274 0.000
2.372 4.636 0.000
1.870 1.274 3.162
-2.372 4.636 3.162
```